Starting from a structure optimized by DFT (PBE), the powder diffractogram of BaSr8N4 was computed for CuKα.
Peak positions follow from Bragg's law for the DFT cell and can differ from measured ones.

Largest 10 diffraction maxima, in order of rising 2θ, 2θ = 5–70°:
d/Å  I_rel
4.509  14
3.361  39
3.317  15
3.189  20
3.007  100
2.802  14
2.791  14
2.188  12
1.932  30
1.658  12

Structural model:
a = 10.2635 Å, b = 10.2635 Å, c = 14.2325 Å
α = 133.84°, β = 133.84°, γ = 21.81°
Element x y z (fractional)
Ba1 0.0000 0.0000 0.0000
Sr1 0.0451 0.0451 0.7111
Sr2 0.2917 0.2917 0.9497
Sr3 0.3359 0.3359 0.3804
Sr4 0.3417 0.3417 0.6337
Sr5 0.6588 0.6588 0.3666
Sr6 0.6650 0.6650 0.6204
Sr7 0.7090 0.7090 0.0514
Sr8 0.9557 0.9557 0.2899
N1 0.1572 0.1572 0.4871
N2 0.3306 0.3306 0.1738
N3 0.6701 0.6701 0.8275
N4 0.8434 0.8434 0.5134